Diffraction record for Li3V4O3F9. The powder X-ray diffraction pattern is theoretical, not measured: it uses a DFT-relaxed cell (GGA+U, the Materials Project) and Cu Kα, 1.54184 Å.
Intensities are scaled so that the largest is 1000.

Peak list (8 most intense, 10 to 90 degrees two-theta, sorted by position)
2theta	Rel. int.	hkl
23.2	979	1 0 -2
23.5	987	0 1 -3
23.9	1000	1 1 3
32.2	318	1 -1 1
32.5	524	0 1 5
39.3	360	1 0 -6
47.4	209	2 0 -4
52.6	318	1 -2 4

Atomic structure:
```
data_Li3V4O3F9
_space_group_name_H-M_alt 'P 1'
_space_group_IT_number 1
_cell_length_a 5.204
_cell_length_b 5.531
_cell_length_c 17.244
_cell_angle_alpha 88.75
_cell_angle_beta 82.96
_cell_angle_gamma 62.53
loop_
_space_group_symop_operation_xyz
'x,y,z'
loop_
_atom_site_label
_atom_site_type_symbol
_atom_site_fract_x
_atom_site_fract_y
_atom_site_fract_z
Li1 Li 0.000 0.000 0.000
Li2 Li 0.009 0.522 0.499
Li3 Li 0.240 0.414 0.125
Li4 Li 0.615 0.042 0.733
Li5 Li 0.842 0.950 0.344
Li6 Li 0.890 0.443 0.839
V1 V 0.186 0.357 0.299
V2 V 0.189 0.849 0.795
V3 V 0.426 0.220 0.917
V4 V 0.428 0.778 0.419
V5 V 0.691 0.618 0.050
V6 V 0.694 0.146 0.549
V7 V 0.929 0.949 0.175
V8 V 0.946 0.488 0.670
O1 O 0.342 0.084 0.832
O2 O 0.424 0.058 0.359
O3 O 0.878 0.336 0.582
O4 O 0.886 0.804 0.078
O5 O 0.973 0.662 0.238
O6 O 0.986 0.663 0.764
F1 F 0.373 0.578 0.336
F2 F 0.376 0.729 0.138
F3 F 0.387 0.264 0.650
F4 F 0.408 0.928 0.987
F5 F 0.416 0.452 0.489
F6 F 0.461 0.530 0.861
F7 F 0.483 0.189 0.199
F8 F 0.505 0.736 0.704
F9 F 0.510 0.367 0.017
F10 F 0.517 0.907 0.515
F11 F 0.877 0.002 0.897
F12 F 0.880 0.546 0.397
F13 F 0.904 0.194 0.743
F14 F 0.938 0.801 0.601
F15 F 0.956 0.270 0.104
F16 F 0.967 0.153 0.267
F17 F 0.977 0.446 0.950
F18 F 0.980 0.973 0.448
```

---

Diffraction record for Li6V2O5F2. The powder X-ray diffraction pattern is theoretical, not measured: it uses a DFT-relaxed cell (GGA+U, the Materials Project) and Cu Kα, 1.54184 Å.
Intensities are scaled so that the largest is 1000.

Peak list (8 most intense, 10 to 90 degrees two-theta, sorted by position)
2theta	Rel. int.	hkl
17.4	1000	0 1 0
18.6	530	1 0 -1
19.2	495	1 -1 1
24.4	277	1 -1 2
27.3	277	0 1 2
42.3	571	2 0 -3
42.8	568	0 2 2
43.7	514	2 -2 3

Atomic structure:
```
data_Li6V2O5F2
_space_group_name_H-M_alt 'P -1'
_space_group_IT_number 2
_cell_length_a 5.900
_cell_length_b 5.906
_cell_length_c 9.983
_cell_angle_alpha 97.83
_cell_angle_beta 91.74
_cell_angle_gamma 119.01
loop_
_space_group_symop_operation_xyz
'x,y,z'
'-x,-y,-z'
loop_
_atom_site_label
_atom_site_type_symbol
_atom_site_fract_x
_atom_site_fract_y
_atom_site_fract_z
Li1 Li 0.025 0.361 0.397
Li2 Li 0.164 0.087 0.106
Li3 Li 0.184 0.630 0.095
Li4 Li 0.295 0.367 0.910
Li5 Li 0.415 0.615 0.577
Li6 Li 0.419 0.086 0.604
V1 V 0.055 0.884 0.375
V2 V 0.297 0.880 0.878
O1 O 0.000 0.258 0.022
O2 O 0.149 0.018 0.749
O3 O 0.236 0.232 0.493
O4 O 0.239 0.743 0.471
O5 O 0.498 0.763 0.991
F1 F 0.154 0.504 0.744
F2 F 0.366 0.999 0.243
```

---

Diffraction record for Li2V2OF6. The powder X-ray diffraction pattern is theoretical, not measured: it uses a DFT-relaxed cell (GGA+U, the Materials Project) and Cu Kα, 1.54184 Å.
Intensities are scaled so that the largest is 1000.

Peak list (8 most intense, 10 to 90 degrees two-theta, sorted by position)
2theta	Rel. int.	hkl
13.6	931	0 1 0
14.6	1000	0 1 1
21.9	456	1 1 0
22.8	400	0 0 2
25.6	334	1 0 2
39.9	493	-2 1 1
42.2	436	1 3 1
46.2	359	1 0 4

Atomic structure:
```
data_Li2V2OF6
_space_group_name_H-M_alt 'P 1'
_space_group_IT_number 1
_cell_length_a 5.321
_cell_length_b 6.902
_cell_length_c 8.466
_cell_angle_alpha 70.39
_cell_angle_beta 77.34
_cell_angle_gamma 85.91
loop_
_space_group_symop_operation_xyz
'x,y,z'
loop_
_atom_site_label
_atom_site_type_symbol
_atom_site_fract_x
_atom_site_fract_y
_atom_site_fract_z
Li1 Li 0.000 0.000 0.000
Li2 Li 0.175 0.735 0.659
Li3 Li 0.449 0.754 0.180
Li4 Li 0.647 0.501 0.813
V1 V 0.029 0.460 0.111
V2 V 0.140 0.268 0.582
V3 V 0.480 0.229 0.246
V4 V 0.585 0.027 0.738
O1 O 0.147 0.325 0.325
O2 O 0.253 0.128 0.792
F1 F 0.144 0.728 0.096
F2 F 0.233 0.548 0.538
F3 F 0.389 0.366 0.011
F4 F 0.395 0.952 0.286
F5 F 0.490 0.760 0.732
F6 F 0.516 0.159 0.493
F7 F 0.651 0.502 0.212
F8 F 0.676 0.921 0.970
F9 F 0.766 0.305 0.697
F10 F 0.863 0.191 0.134
F11 F 0.950 0.561 0.878
F12 F 0.966 0.987 0.622
```

---

Diffraction record for Li2VO2F. The powder X-ray diffraction pattern is theoretical, not measured: it uses a DFT-relaxed cell (GGA+U, the Materials Project) and Cu Kα, 1.54184 Å.
Intensities are scaled so that the largest is 1000.

Peak list (8 most intense, 10 to 90 degrees two-theta, sorted by position)
2theta	Rel. int.	hkl
18.2	693	0 0 2
34.9	102	1 3 0
35.3	277	2 0 0
42.9	1000	2 0 2
62.2	84	0 6 0
62.3	354	3 3 -1
62.4	88	2 0 -6
78.7	79	4 0 -4

Atomic structure:
```
data_Li2VO2F
_space_group_name_H-M_alt 'C 1 2 1'
_space_group_IT_number 5
_cell_length_a 5.163
_cell_length_b 8.960
_cell_length_c 9.875
_cell_angle_alpha 90.00
_cell_angle_beta 99.93
_cell_angle_gamma 90.00
loop_
_space_group_symop_operation_xyz
'x,y,z'
'-x,y,-z'
'x+1/2,y+1/2,z'
'-x+1/2,y+1/2,-z'
loop_
_atom_site_label
_atom_site_type_symbol
_atom_site_fract_x
_atom_site_fract_y
_atom_site_fract_z
Li1 Li 0.000 0.000 0.000
Li2 Li 0.000 0.346 0.000
Li3 Li 0.235 0.844 0.250
Li4 Li 0.238 0.995 0.756
Li5 Li 0.246 0.684 0.752
V1 V 0.000 0.174 0.500
V2 V 0.000 0.508 0.500
V3 V 0.000 0.697 0.000
V4 V 0.000 0.841 0.500
O1 O 0.122 0.837 0.880
O2 O 0.127 0.342 0.383
O3 O 0.129 0.008 0.383
O4 O 0.130 0.675 0.385
F1 F 0.116 0.517 0.882
F2 F 0.128 0.177 0.877
```

---

Diffraction record for LiVOF3. The powder X-ray diffraction pattern is theoretical, not measured: it uses a DFT-relaxed cell (GGA+U, the Materials Project) and Cu Kα, 1.54184 Å.
Intensities are scaled so that the largest is 1000.

Peak list (8 most intense, 10 to 90 degrees two-theta, sorted by position)
2theta	Rel. int.	hkl
11.8	379	1 0 0
21.5	1000	1 1 0
24.7	374	0 0 2
24.9	340	1 0 -2
29.9	403	2 1 0
39.9	310	3 1 -1
41.1	289	1 1 -3
53.8	259	2 2 2

Atomic structure:
```
data_LiVOF3
_space_group_name_H-M_alt 'P 1 21/c 1'
_space_group_IT_number 14
_cell_length_a 7.681
_cell_length_b 4.950
_cell_length_c 7.399
_cell_angle_alpha 90.00
_cell_angle_beta 102.78
_cell_angle_gamma 90.00
loop_
_space_group_symop_operation_xyz
'x,y,z'
'-x,-y,-z'
'-x,y+1/2,-z+1/2'
'x,-y+1/2,z+1/2'
loop_
_atom_site_label
_atom_site_type_symbol
_atom_site_fract_x
_atom_site_fract_y
_atom_site_fract_z
Li1 Li 0.133 0.247 0.354
V1 V 0.329 0.736 0.202
O1 O 0.457 0.034 0.794
F1 F 0.098 0.572 0.197
F2 F 0.197 0.050 0.093
F3 F 0.305 0.594 0.941
```

---

Diffraction record for Li3V4O11F. The powder X-ray diffraction pattern is theoretical, not measured: it uses a DFT-relaxed cell (GGA+U, the Materials Project) and Cu Kα, 1.54184 Å.
Intensities are scaled so that the largest is 1000.

Peak list (8 most intense, 10 to 90 degrees two-theta, sorted by position)
2theta	Rel. int.	hkl
20.3	946	0 1 1
21.2	1000	1 0 -1
22.0	319	0 1 -1
28.4	453	1 1 2
30.2	396	1 1 -2
38.6	470	1 -1 2
45.2	344	1 2 3
48.3	313	2 1 -3

Atomic structure:
```
data_Li3V4O11F
_space_group_name_H-M_alt 'P 1'
_space_group_IT_number 1
_cell_length_a 4.982
_cell_length_b 5.089
_cell_length_c 9.044
_cell_angle_alpha 84.73
_cell_angle_beta 89.63
_cell_angle_gamma 69.31
loop_
_space_group_symop_operation_xyz
'x,y,z'
loop_
_atom_site_label
_atom_site_type_symbol
_atom_site_fract_x
_atom_site_fract_y
_atom_site_fract_z
Li1 Li 0.000 0.000 0.000
Li2 Li 0.204 0.665 0.753
Li3 Li 0.513 0.482 0.479
V1 V 0.049 0.584 0.230
V2 V 0.124 0.087 0.488
V3 V 0.544 0.017 0.734
V4 V 0.651 0.579 0.989
O1 O 0.137 0.820 0.380
O2 O 0.293 0.326 0.646
O3 O 0.343 0.610 0.122
O4 O 0.343 0.923 0.881
O5 O 0.472 0.809 0.603
O6 O 0.617 0.336 0.883
O7 O 0.768 0.853 0.155
O8 O 0.856 0.749 0.864
O9 O 0.881 0.064 0.623
O10 O 0.889 0.415 0.389
O11 O 0.960 0.347 0.103
F1 F 0.401 0.223 0.367
```

---

Diffraction record for Li2VO2F. The powder X-ray diffraction pattern is theoretical, not measured: it uses a DFT-relaxed cell (GGA+U, the Materials Project) and Cu Kα, 1.54184 Å.
Intensities are scaled so that the largest is 1000.

Peak list (8 most intense, 10 to 90 degrees two-theta, sorted by position)
2theta	Rel. int.	hkl
12.0	1000	0 1 -1
24.2	298	0 2 -2
34.5	83	0 2 2
42.1	260	1 1 -3
42.3	229	1 -1 3
43.0	217	0 4 0
61.3	89	2 0 0
61.9	115	1 3 3

Atomic structure:
```
data_Li2VO2F
_space_group_name_H-M_alt 'P 1'
_space_group_IT_number 1
_cell_length_a 3.025
_cell_length_b 8.930
_cell_length_c 9.102
_cell_angle_alpha 109.58
_cell_angle_beta 90.24
_cell_angle_gamma 90.03
loop_
_space_group_symop_operation_xyz
'x,y,z'
loop_
_atom_site_label
_atom_site_type_symbol
_atom_site_fract_x
_atom_site_fract_y
_atom_site_fract_z
Li1 Li 0.000 0.000 0.000
Li2 Li 0.000 0.003 0.300
Li3 Li 0.500 0.257 0.252
Li4 Li 0.500 0.284 0.575
Li5 Li 0.500 0.746 0.058
Li6 Li 0.502 0.728 0.746
Li7 Li 0.997 0.500 0.523
Li8 Li 0.999 0.505 0.788
V1 V 0.006 0.002 0.675
V2 V 0.009 0.502 0.153
V3 V 0.493 0.257 0.906
V4 V 0.496 0.739 0.400
O1 O 0.000 0.257 0.062
O2 O 0.016 0.749 0.248
O3 O 0.494 0.007 0.819
O4 O 0.498 0.506 0.655
O5 O 0.501 0.496 0.001
O6 O 0.515 0.506 0.308
O7 O 0.986 0.237 0.746
O8 O 0.989 0.773 0.556
F1 F 0.001 0.236 0.396
F2 F 0.501 0.002 0.158
F3 F 0.501 0.003 0.497
F4 F 0.999 0.764 0.916
```